For DyRe2, a structure optimized by DFT (GGA-PBE) gives the computed X-ray diffraction stick pattern in this record (Cu Kα).

Top 6 peaks for 2θ from 15° to 90°, most intense first:
(hkl)	2θ/deg	I_rel
3 1 1	38.97	100
2 2 2	40.78	45
5 1 1	63.02	33
4 4 0	69.36	29
2 2 0	33.06	23
6 2 2	83.70	18

Crystal structure
Lattice parameters (Å, degrees): 7.6648 7.6648 7.6648 90.00 90.00 90.00
Space group Fd-3m (No. 227, origin choice 2)
Asymmetric unit:
Dy1 0.1250 0.1250 0.1250 (multiplicity 8)
Re1 0.0000 0.0000 0.5000 (multiplicity 16)